Diffraction record for Ac3AgN2. The XRD peak list is calculated, not measured: it uses a cell relaxed with GGA-PBE and λ = 1.5418 Å (Cu Kα).
Kinematic intensities with the Lorentz-polarization factor, no thermal factor.

Cell and atoms:
a = 24.4086 Å, b = 4.2127 Å, c = 7.1952 Å
α = 90.00°, β = 102.92°, γ = 90.00°
Space group C2/m (No. 12)
One atom of each set of equivalent atoms:
Ac 0.0434 0.0000 0.2480 (multiplicity 4)
Ac 0.1023 0.5000 0.8370 (multiplicity 4)
Ac 0.2287 0.0000 0.1922 (multiplicity 4)
Ag 0.1500 0.5000 0.4327 (multiplicity 4)
N 0.0570 0.0000 0.9246 (multiplicity 4)
N 0.2008 0.5000 0.0043 (multiplicity 4)

Peak list (12 most intense, 2θ = 10–80°, most intense first)
- (6 0 1), 3.158 Å, I = 100
- (5 1 -1), 3.051 Å, I = 65
- (0 0 2), 3.509 Å, I = 60
- (1 1 2), 2.628 Å, I = 40
- (1 1 -1), 3.633 Å, I = 36
- (5 1 -3), 2.028 Å, I = 33
- (6 0 -2), 2.978 Å, I = 31
- (3 1 0), 3.720 Å, I = 26
- (0 2 0), 2.106 Å, I = 25
- (6 2 1), 1.753 Å, I = 21
- (11 1 -2), 1.849 Å, I = 19
- (11 1 0), 1.924 Å, I = 18